Record 1
Diffraction record for LaHoTm3Th. The powder X-ray diffraction pattern is simulated, not measured: it uses the PBE geometry in Alexandria and Cu Kα X-rays.

Cell and atoms:
Cell lengths 7.9470, 5.0451, 10.1015 Å; angles 90.00, 109.06, 90.00 degrees
Space group P2_1/m (No. 11)
Unique sites:
La (0.1689, 0.2500, 0.2922) [2 per cell]
Ho (0.4987, 0.2500, 0.6290) [2 per cell]
Tm (0.1695, 0.7500, 0.5448) [2 per cell]
Tm (0.1747, 0.7500, 0.0418) [2 per cell]
Tm (0.1763, 0.2500, 0.7937) [2 per cell]
Th (0.4981, 0.7500, 0.8785) [2 per cell]

Peak list (6 most intense, 10° ≤ 2θ ≤ 90°, by angle)
(hkl)	2θ/deg	d/Å	I_rel
2 1 -2	30.66	2.916	100
1 1 2	30.86	2.898	99
0 2 0	35.57	2.524	68
3 0 0	35.87	2.504	33
1 2 -4	51.19	1.785	24
1 3 2	61.03	1.518	29

---

Record 2
Diffraction record for LaHoThZn. The powder X-ray diffraction pattern is simulated, not measured: it uses the PBE geometry in Alexandria and Cu Kα X-rays.

Cell and atoms:
Cell lengths 3.6171, 3.6171, 8.6862 Å; angles 90.00, 90.00, 90.00 degrees
Space group P4mm (No. 99)
Unique sites:
La (0.0000, 0.0000, 0.0000) [1 per cell]
Ho (0.0000, 0.0000, 0.4328) [1 per cell]
Th (0.5000, 0.5000, 0.7088) [1 per cell]
Zn (0.5000, 0.5000, 0.2372) [1 per cell]

Peak list (6 most intense, 10° ≤ 2θ ≤ 90°, by angle)
(hkl)	2θ/deg	d/Å	I_rel
1 0 1	26.70	3.339	23
1 0 2	32.21	2.779	100
1 1 0	35.08	2.558	44
2 0 0	50.46	1.809	16
1 1 4	55.51	1.655	16
2 1 2	61.14	1.516	32

---

Record 3
Diffraction record for La3HoTl3. The powder X-ray diffraction pattern is simulated, not measured: it uses the PBE geometry in Alexandria and Cu Kα X-rays.

Cell and atoms:
Cell lengths 9.6895, 9.6895, 9.6895 Å; angles 90.00, 90.00, 90.00 degrees
Space group P2_13 (No. 198)
Unique sites:
La (0.0679, 0.4321, 0.5679) [4 per cell]
La (0.1695, 0.8305, 0.3305) [4 per cell]
La (0.1759, 0.1759, 0.1759) [4 per cell]
Ho (0.0761, 0.5761, 0.9239) [4 per cell]
Tl (0.0040, 0.2583, 0.8658) [12 per cell]

Peak list (6 most intense, 10° ≤ 2θ ≤ 90°, by angle)
(hkl)	2θ/deg	d/Å	I_rel
3 0 1	29.14	3.064	100
3 1 2	34.64	2.590	70
4 2 0	41.69	2.167	19
4 3 1	47.87	1.900	18
6 1 1	58.74	1.572	30
7 2 1	71.56	1.319	18

---

Record 4
Diffraction record for La2Ho3Tl4. The powder X-ray diffraction pattern is simulated, not measured: it uses the PBE geometry in Alexandria and Cu Kα X-rays.

Cell and atoms:
Cell lengths 7.1919, 16.9763, 9.1029 Å; angles 90.00, 90.00, 90.00 degrees
Space group Cmce (No. 64)
Unique sites:
La (0.0000, 0.1093, 0.0782) [8 per cell]
Ho (0.0000, 0.0000, 0.5000) [4 per cell]
Ho (0.2500, 0.2170, 0.7500) [8 per cell]
Tl (0.0000, 0.1831, 0.4573) [8 per cell]
Tl (0.2500, 0.0372, 0.7500) [8 per cell]

Peak list (6 most intense, 10° ≤ 2θ ≤ 90°, by angle)
(hkl)	2θ/deg	d/Å	I_rel
2 2 1	28.71	3.109	50
1 5 1	30.73	2.909	59
0 2 3	31.31	2.857	33
2 0 2	31.71	2.822	100
0 6 1	33.16	2.702	25
2 6 1	41.83	2.160	30